Entry 1:
Starting from a GGA+U-relaxed structure, the powder XRD pattern of Na2SrV3O9 was calculated for a wavelength of 1.5418 Å.
Neutral-atom scattering factors, no anomalous dispersion.

Largest 10 diffraction maxima, in order of rising 2θ, 2θ from 10° to 90°:
2theta, d (Å), I/Imax
10.47, 8.451, 94
17.25, 5.141, 17
22.73, 3.912, 22
28.42, 3.140, 100
29.32, 3.046, 17
31.09, 2.877, 63
31.42, 2.847, 21
32.79, 2.731, 47
44.59, 2.032, 18
49.02, 1.858, 14

```
data_Na2SrV3O9
_cell_length_a 5.5126
_cell_length_b 15.2125
_cell_length_c 10.2579
_cell_angle_alpha 90.00
_cell_angle_beta 97.74
_cell_angle_gamma 90.00
_symmetry_space_group_name_H-M 'P 1'
_symmetry_Int_Tables_number 1
loop_
_symmetry_equiv_pos_as_xyz
'x,y,z'
loop_
_atom_site_label
_atom_site_type_symbol
_atom_site_fract_x
_atom_site_fract_y
_atom_site_fract_z
Na1 Na 0.2346 0.2082 0.0305
Na2 Na 0.2346 0.2918 0.5305
Na3 Na 0.2484 0.5666 0.4776
Na4 Na 0.2484 0.9334 0.9776
Na5 Na 0.7516 0.0666 0.0224
Na6 Na 0.7516 0.4334 0.5224
Na7 Na 0.7654 0.7082 0.4695
Na8 Na 0.7654 0.7918 0.9695
Sr1 Sr 0.2593 0.6139 0.0321
Sr2 Sr 0.2593 0.8861 0.5321
Sr3 Sr 0.7407 0.1139 0.4679
Sr4 Sr 0.7407 0.3861 0.9679
V1 V 0.2112 0.0474 0.2955
V2 V 0.2112 0.4526 0.7955
V3 V 0.2145 0.7367 0.7556
V4 V 0.2145 0.7633 0.2556
V5 V 0.2908 0.0993 0.7155
V6 V 0.2908 0.4007 0.2155
V7 V 0.7092 0.5993 0.7845
V8 V 0.7092 0.9007 0.2845
V9 V 0.7855 0.2367 0.7444
V10 V 0.7855 0.2633 0.2444
V11 V 0.7888 0.5474 0.2045
V12 V 0.7888 0.9526 0.7045
O1 O 0.0304 0.0152 0.6461
O2 O 0.0304 0.4848 0.1461
O3 O 0.0342 0.1909 0.6704
O4 O 0.0342 0.3091 0.1704
O5 O 0.1755 0.0603 0.1296
O6 O 0.1755 0.4397 0.6296
O7 O 0.1898 0.7180 0.5902
O8 O 0.1898 0.7820 0.0902
O9 O 0.2503 0.1412 0.3881
O10 O 0.2503 0.3588 0.8881
O11 O 0.2500 0.6529 0.2780
O12 O 0.2500 0.8471 0.7780
O13 O 0.3450 0.0898 0.8787
O14 O 0.3450 0.4102 0.3787
O15 O 0.4833 0.5138 0.8510
O16 O 0.4828 0.6873 0.8422
O17 O 0.4828 0.8127 0.3422
O18 O 0.4833 0.9862 0.3510
O19 O 0.5167 0.0138 0.6490
O20 O 0.5172 0.1873 0.6578
O21 O 0.5172 0.3127 0.1578
O22 O 0.5167 0.4862 0.1490
O23 O 0.6550 0.5898 0.6213
O24 O 0.6550 0.9102 0.1213
O25 O 0.7500 0.1529 0.2220
O26 O 0.7500 0.3471 0.7220
O27 O 0.7497 0.6412 0.1119
O28 O 0.7497 0.8588 0.6119
O29 O 0.8102 0.2180 0.9098
O30 O 0.8102 0.2820 0.4098
O31 O 0.8245 0.5603 0.3704
O32 O 0.8245 0.9397 0.8704
O33 O 0.9658 0.6909 0.8296
O34 O 0.9658 0.8091 0.3296
O35 O 0.9696 0.5152 0.8539
O36 O 0.9696 0.9848 0.3539
```

***

Entry 2:
Starting from a GGA+U-relaxed structure, the powder XRD pattern of Na8Ta7VO24 was calculated for a wavelength of 1.5418 Å.
Neutral-atom scattering factors, no anomalous dispersion.

Largest 10 diffraction maxima, in order of rising 2θ, 2θ from 10° to 90°:
2theta, d (Å), I/Imax
22.46, 3.959, 100
31.97, 2.800, 98
39.42, 2.286, 10
45.84, 1.980, 34
51.62, 1.771, 42
56.97, 1.616, 39
66.83, 1.400, 20
71.48, 1.320, 20
76.01, 1.252, 17
89.18, 1.098, 9

```
data_Na8Ta7VO24
_cell_length_a 7.9187
_cell_length_b 7.9187
_cell_length_c 7.9187
_cell_angle_alpha 90.00
_cell_angle_beta 90.00
_cell_angle_gamma 90.00
_symmetry_space_group_name_H-M 'P 1'
_symmetry_Int_Tables_number 1
loop_
_symmetry_equiv_pos_as_xyz
'x,y,z'
loop_
_atom_site_label
_atom_site_type_symbol
_atom_site_fract_x
_atom_site_fract_y
_atom_site_fract_z
Na1 Na 0.2485 0.2485 0.2485
Na2 Na 0.2485 0.2485 0.7515
Na3 Na 0.2485 0.7515 0.2485
Na4 Na 0.2485 0.7515 0.7515
Na5 Na 0.7515 0.2485 0.2485
Na6 Na 0.7515 0.2485 0.7515
Na7 Na 0.7515 0.7515 0.2485
Na8 Na 0.7515 0.7515 0.7515
Ta1 Ta 0.0000 0.0000 0.5000
Ta2 Ta 0.0000 0.5000 0.0000
Ta3 Ta 0.0000 0.5000 0.5000
Ta4 Ta 0.5000 0.0000 0.0000
Ta5 Ta 0.5000 0.0000 0.5000
Ta6 Ta 0.5000 0.5000 0.0000
Ta7 Ta 0.5000 0.5000 0.5000
V1 V 0.0000 0.0000 0.0000
O1 O 0.0000 0.0000 0.2439
O2 O 0.0000 0.0000 0.7561
O3 O 0.0000 0.2439 0.0000
O4 O 0.0000 0.2495 0.5000
O5 O 0.0000 0.5000 0.2495
O6 O 0.0000 0.5000 0.7505
O7 O 0.0000 0.7505 0.5000
O8 O 0.0000 0.7561 0.0000
O9 O 0.2439 0.0000 0.0000
O10 O 0.2495 0.0000 0.5000
O11 O 0.2495 0.5000 0.0000
O12 O 0.2500 0.5000 0.5000
O13 O 0.5000 0.0000 0.2495
O14 O 0.5000 0.0000 0.7505
O15 O 0.5000 0.2495 0.0000
O16 O 0.5000 0.2500 0.5000
O17 O 0.5000 0.5000 0.2500
O18 O 0.5000 0.5000 0.7500
O19 O 0.5000 0.7500 0.5000
O20 O 0.5000 0.7505 0.0000
O21 O 0.7500 0.5000 0.5000
O22 O 0.7505 0.0000 0.5000
O23 O 0.7505 0.5000 0.0000
O24 O 0.7561 0.0000 0.0000
```

***

Entry 3:
Starting from a GGA+U-relaxed structure, the powder XRD pattern of NaTaWO6 was calculated for a wavelength of 1.5418 Å.
Neutral-atom scattering factors, no anomalous dispersion.

Largest 10 diffraction maxima, in order of rising 2θ, 2θ from 10° to 90°:
2theta, d (Å), I/Imax
14.65, 6.048, 100
28.27, 3.157, 48
29.48, 3.030, 36
29.61, 3.017, 36
34.25, 2.618, 25
44.91, 2.018, 10
49.21, 1.852, 20
51.56, 1.773, 9
58.37, 1.581, 16
58.58, 1.576, 10

```
data_NaTaWO6
_cell_length_a 7.4065
_cell_length_b 7.4065
_cell_length_c 7.4065
_cell_angle_alpha 120.23
_cell_angle_beta 119.81
_cell_angle_gamma 89.96
_symmetry_space_group_name_H-M 'P 1'
_symmetry_Int_Tables_number 1
loop_
_symmetry_equiv_pos_as_xyz
'x,y,z'
loop_
_atom_site_label
_atom_site_type_symbol
_atom_site_fract_x
_atom_site_fract_y
_atom_site_fract_z
Na1 Na 0.0000 0.0000 0.0000
Na2 Na 0.5000 0.0000 0.5000
Ta1 Ta 0.5000 0.0000 0.0000
Ta2 Ta 0.5000 0.5000 0.5000
W1 W 0.0000 0.5000 0.5000
W2 W 0.5000 0.5000 0.0000
O1 O 0.1845 0.4337 0.3762
O2 O 0.1845 0.8083 0.7508
O3 O 0.1923 0.4423 0.7500
O4 O 0.4304 0.1804 0.2500
O5 O 0.4425 0.1917 0.8762
O6 O 0.4425 0.5663 0.2508
O7 O 0.5575 0.4337 0.7492
O8 O 0.5575 0.8083 0.1238
O9 O 0.5696 0.8196 0.7500
O10 O 0.8077 0.5577 0.2500
O11 O 0.8155 0.1917 0.2492
O12 O 0.8155 0.5663 0.6238
```

***

Entry 4:
Starting from a GGA+U-relaxed structure, the powder XRD pattern of NaTaWO7 was calculated for a wavelength of 1.5418 Å.
Neutral-atom scattering factors, no anomalous dispersion.

Largest 10 diffraction maxima, in order of rising 2θ, 2θ from 10° to 90°:
2theta, d (Å), I/Imax
14.59, 6.070, 100
27.95, 3.192, 21
28.25, 3.159, 42
29.43, 3.035, 82
34.28, 2.616, 17
48.89, 1.863, 25
49.26, 1.850, 12
57.77, 1.596, 12
58.43, 1.580, 24
79.28, 1.208, 12

```
data_NaTaWO7
_cell_length_a 7.4522
_cell_length_b 7.4522
_cell_length_c 7.4522
_cell_angle_alpha 120.47
_cell_angle_beta 120.47
_cell_angle_gamma 89.19
_symmetry_space_group_name_H-M 'P 1'
_symmetry_Int_Tables_number 1
loop_
_symmetry_equiv_pos_as_xyz
'x,y,z'
loop_
_atom_site_label
_atom_site_type_symbol
_atom_site_fract_x
_atom_site_fract_y
_atom_site_fract_z
Na1 Na 0.5000 0.0000 0.0000
Na2 Na 0.5000 0.5000 0.5000
Ta1 Ta 0.0000 0.0000 0.0000
Ta2 Ta 0.5000 0.0000 0.5000
W1 W 0.0000 0.0000 0.5000
W2 W 0.0000 0.5000 0.0000
O1 O 0.0551 0.3051 0.7500
O2 O 0.0650 0.3165 0.1241
O3 O 0.0650 0.9408 0.7485
O4 O 0.3077 0.0592 0.6241
O5 O 0.3077 0.6835 0.2485
O6 O 0.3151 0.0651 0.2500
O7 O 0.3553 0.6053 0.7500
O8 O 0.6447 0.3947 0.2500
O9 O 0.6849 0.9349 0.7500
O10 O 0.6923 0.3165 0.7515
O11 O 0.6923 0.9408 0.3759
O12 O 0.9350 0.0592 0.2515
O13 O 0.9350 0.6835 0.8759
O14 O 0.9449 0.6949 0.2500
```

***

Entry 5:
Starting from a GGA+U-relaxed structure, the powder XRD pattern of Na3TbV2O8 was calculated for a wavelength of 1.5418 Å.
Neutral-atom scattering factors, no anomalous dispersion.

Largest 10 diffraction maxima, in order of rising 2θ, 2θ from 10° to 90°:
2theta, d (Å), I/Imax
12.34, 7.170, 35
17.29, 5.128, 26
21.30, 4.171, 100
30.19, 2.960, 78
30.42, 2.938, 67
37.25, 2.414, 15
43.39, 2.085, 42
48.67, 1.871, 21
53.77, 1.705, 25
62.77, 1.480, 15

```
data_Na3TbV2O8
_cell_length_a 5.9209
_cell_length_b 5.9209
_cell_length_c 7.1705
_cell_angle_alpha 90.00
_cell_angle_beta 90.00
_cell_angle_gamma 120.00
_symmetry_space_group_name_H-M 'P 1'
_symmetry_Int_Tables_number 1
loop_
_symmetry_equiv_pos_as_xyz
'x,y,z'
loop_
_atom_site_label
_atom_site_type_symbol
_atom_site_fract_x
_atom_site_fract_y
_atom_site_fract_z
Na1 Na 0.0000 0.0000 0.0000
Na2 Na 0.3333 0.6667 0.6805
Na3 Na 0.6667 0.3333 0.3195
Tb1 Tb 0.0000 0.0000 0.5000
V1 V 0.3333 0.6667 0.2190
V2 V 0.6667 0.3333 0.7810
O1 O 0.1733 0.3467 0.3083
O2 O 0.1733 0.8267 0.3083
O3 O 0.3333 0.6667 0.9850
O4 O 0.3467 0.1733 0.6917
O5 O 0.6533 0.8267 0.3083
O6 O 0.6667 0.3333 0.0150
O7 O 0.8267 0.1733 0.6917
O8 O 0.8267 0.6533 0.6917
```